[1]
Simulated X-ray powder pattern
Compound: Ba2PH2
Radiation: Cu Kα, 1.54184 Å
Structure: DFT lattice parameters and positions (PBE)

Crystal structure
```
10
Lattice="2.135 -11.854 0.000 2.135 11.854 0.000 0.000 0.000 5.742" Properties=species:S:1:pos:R:3 pbc="T T T"
Ba 2.135 10.859 2.871
Ba 2.135 4.638 2.877
Ba 2.135 -4.638 0.005
Ba 2.135 -10.859 0.000
P 2.135 9.465 5.742
P 2.135 -9.465 2.871
H 2.135 5.440 0.008
H 2.135 0.000 1.435
H 2.135 0.000 4.306
H 2.135 -5.440 2.880
```

Largest 12 diffraction maxima, in order of falling intensity, 5 to 70 degrees two-theta:
21.5°, I = 1000; 37.3°, I = 621; 23.7°, I = 596; 26.3°, I = 466; 31.1°, I = 344; 39.5°, I = 321; 21.1°, I = 242; 48.0°, I = 240; 34.0°, I = 233; 28.1°, I = 181; 32.2°, I = 172; 50.0°, I = 166

---

[2]
Simulated X-ray powder pattern
Compound: BaPH
Radiation: Cu Kα, 1.54184 Å
Structure: DFT lattice parameters and positions (PBE)

Crystal structure
```
9
Lattice="4.934 0.000 0.000 -2.467 4.273 0.000 0.000 0.000 10.672" Properties=species:S:1:pos:R:3 pbc="T T T"
Ba 0.000 0.000 0.000
Ba 0.000 2.848 7.114
Ba 2.467 1.424 3.557
P 0.000 0.000 5.308
P 0.000 2.848 1.751
P 2.467 1.424 8.865
H 0.000 0.000 3.855
H 0.000 2.848 0.298
H 2.467 1.424 7.412
```

Largest 12 diffraction maxima, in order of falling intensity, 5 to 70 degrees two-theta:
26.7°, I = 1000; 22.4°, I = 551; 36.4°, I = 441; 39.8°, I = 330; 45.7°, I = 223; 59.8°, I = 199; 44.7°, I = 194; 64.6°, I = 159; 25.0°, I = 150; 67.8°, I = 137; 55.1°, I = 127; 43.2°, I = 104

---

[3]
Simulated X-ray powder pattern
Compound: BaP4H7
Radiation: Cu Kα, 1.54184 Å
Structure: DFT lattice parameters and positions (PBE)

Crystal structure
```
12
Lattice="4.804 0.000 0.000 -1.298 5.972 0.000 -1.186 -2.609 6.606" Properties=species:S:1:pos:R:3 pbc="T T T"
Ba 0.000 0.000 0.000
P -0.104 1.580 5.580
P 0.128 3.309 4.205
P 2.153 2.184 0.931
P 2.241 0.468 2.363
H -1.211 3.833 4.009
H -0.179 0.549 4.583
H 0.111 2.613 2.941
H 2.149 3.278 1.865
H 2.223 1.159 3.627
H 3.601 2.376 0.733
H 3.713 0.377 2.473
```

Largest 12 diffraction maxima, in order of falling intensity, 5 to 70 degrees two-theta:
16.7°, I = 1000; 25.9°, I = 936; 13.4°, I = 856; 26.5°, I = 498; 38.0°, I = 475; 28.7°, I = 453; 16.0°, I = 335; 32.7°, I = 323; 31.2°, I = 240; 38.3°, I = 219; 30.0°, I = 211; 29.2°, I = 210

---

What is the formula in the third record? BaP4H7